This entry pairs a crystal structure of Ac2Al12Cu7 with its simulated powder diffraction line list. Radiation: Cu Kα (weighted mean of Kα1 and Kα2). Structure: a DFT-relaxed cell (GGA-PBE, Alexandria).

The 8 most intense peaks (2θ from 5° to 70°), in order of rising 2θ:
10.08°, intensity 28; 17.51°, intensity 33; 24.12°, intensity 22; 29.96°, intensity 55; 30.57°, intensity 35; 34.91°, intensity 100; 47.50°, intensity 29; 50.60°, intensity 31

Cell and atoms:
```
21
Lattice="10.129 0.000 0.000 -5.064 8.772 0.000 0.000 0.000 4.068" Properties=species:S:1:pos:R:3 pbc="T T T"
Ac 0.000 0.000 0.000
Ac 0.000 5.848 2.034
Al -3.364 6.782 2.034
Al -1.034 3.362 0.000
Al 0.873 2.467 2.034
Al -1.635 7.986 0.000
Al 3.315 2.086 0.000
Al 4.999 0.454 2.034
Al 2.958 4.215 2.034
Al 2.670 6.195 0.000
Al 2.491 8.294 2.034
Al 6.665 1.828 0.000
Al 5.213 4.858 0.000
Al 7.236 4.102 2.034
Cu -2.492 5.579 0.000
Cu 2.521 0.477 2.034
Cu 1.479 3.825 0.000
Cu 1.013 8.140 0.000
Cu 5.064 2.924 2.034
Cu 4.217 6.350 2.034
Cu 8.456 1.945 2.034
```

***

This entry pairs a crystal structure of BaLi2PrP2 with its simulated powder diffraction line list. Radiation: Cu Kα (weighted mean of Kα1 and Kα2). Structure: a DFT-relaxed cell (GGA-PBE, Alexandria).

The 8 most intense peaks (2θ from 5° to 70°), in order of rising 2θ:
20.83°, intensity 21; 23.86°, intensity 61; 31.88°, intensity 100; 41.96°, intensity 29; 47.29°, intensity 15; 49.22°, intensity 20; 53.65°, intensity 23; 61.17°, intensity 17

Cell and atoms:
```
6
Lattice="4.306 0.000 0.000 -2.153 3.729 0.000 0.000 0.000 8.531" Properties=species:S:1:pos:R:3 pbc="T T T"
Ba 0.000 0.000 0.000
Li 0.000 2.486 6.241
Li 2.153 1.243 2.290
Pr 0.000 0.000 4.265
P 0.000 2.486 2.430
P 2.153 1.243 6.100
```

***

This entry pairs a crystal structure of TlNF5 with its simulated powder diffraction line list. Radiation: Cu Kα (weighted mean of Kα1 and Kα2). Structure: a DFT-relaxed cell (GGA-PBE, Alexandria).

The 8 most intense peaks (2θ from 5° to 70°), in order of rising 2θ:
9.42°, intensity 100; 18.61°, intensity 20; 22.61°, intensity 20; 25.58°, intensity 11; 29.15°, intensity 10; 30.01°, intensity 10; 30.30°, intensity 21; 38.81°, intensity 8

Cell and atoms:
```
14
Lattice="3.543 0.000 0.000 -0.070 6.002 0.000 -0.190 -1.178 9.388" Properties=species:S:1:pos:R:3 pbc="T T T"
Tl 0.000 0.000 0.000
Tl 1.675 3.006 1.733
N 0.600 1.046 6.085
N 0.790 0.853 4.869
F -0.040 3.690 0.238
F -0.040 1.427 1.810
F 0.125 2.317 6.245
F 1.311 -0.381 4.664
F 1.510 0.377 9.239
F 1.539 3.927 8.056
F 1.699 5.347 1.362
F 1.900 2.114 3.966
F 2.871 -0.736 7.179
F 3.409 3.810 2.885
```

***

This entry pairs a crystal structure of K2BaIrCl8 with its simulated powder diffraction line list. Radiation: Cu Kα (weighted mean of Kα1 and Kα2). Structure: a DFT-relaxed cell (GGA-PBE, Alexandria).

The 8 most intense peaks (2θ from 5° to 70°), in order of rising 2θ:
12.22°, intensity 100; 16.95°, intensity 71; 19.60°, intensity 31; 23.17°, intensity 72; 23.27°, intensity 48; 31.83°, intensity 84; 32.75°, intensity 33; 39.31°, intensity 30

Cell and atoms:
```
12
Lattice="5.764 0.000 0.000 0.000 9.057 0.000 -2.412 0.000 7.242" Properties=species:S:1:pos:R:3 pbc="T T T"
K 0.000 2.194 0.000
K 0.000 6.862 0.000
Ba 1.676 4.528 3.621
Ir 1.676 0.000 3.621
Cl -1.591 4.528 5.438
Cl -0.234 0.000 2.329
Cl 0.822 1.706 5.029
Cl 0.822 7.350 5.029
Cl 2.529 1.706 2.213
Cl 2.529 7.350 2.213
Cl 3.585 0.000 4.913
Cl 4.943 4.528 1.805
```

***

This entry pairs a crystal structure of CrNiS4 with its simulated powder diffraction line list. Radiation: Cu Kα (weighted mean of Kα1 and Kα2). Structure: a DFT-relaxed cell (GGA-PBE, Alexandria).

The 8 most intense peaks (2θ from 5° to 70°), in order of rising 2θ:
15.96°, intensity 36; 16.36°, intensity 58; 30.89°, intensity 13; 31.53°, intensity 10; 37.88°, intensity 100; 53.52°, intensity 11; 54.67°, intensity 41; 67.47°, intensity 11

Cell and atoms:
```
12
Lattice="-3.302 3.424 4.743 3.302 -3.424 4.743 3.302 3.424 -4.743" Properties=species:S:1:pos:R:3 pbc="T T T"
Cr -1.651 1.712 2.372
Cr 1.651 1.712 2.372
Ni 0.000 0.000 0.000
Ni 0.000 3.424 0.000
S 0.000 0.055 2.299
S 1.495 1.712 0.030
S 1.807 -1.712 4.773
S 3.302 0.055 2.444
S 0.000 3.369 2.299
S 1.495 5.136 -0.030
S 1.807 1.712 4.714
S 3.302 3.369 2.444
```

***

This entry pairs a crystal structure of Rb3TaIr with its simulated powder diffraction line list. Radiation: Cu Kα (weighted mean of Kα1 and Kα2). Structure: a DFT-relaxed cell (GGA-PBE, Alexandria).

The 8 most intense peaks (2θ from 5° to 70°), in order of rising 2θ:
18.59°, intensity 90; 22.82°, intensity 36; 26.41°, intensity 100; 32.49°, intensity 47; 37.69°, intensity 78; 46.61°, intensity 28; 50.60°, intensity 28; 61.43°, intensity 37

Cell and atoms:
```
5
Lattice="6.750 0.000 0.000 0.000 6.750 0.000 0.000 0.000 6.750" Properties=species:S:1:pos:R:3 pbc="T T T"
Rb 0.000 0.000 3.375
Rb 0.000 3.375 0.000
Rb 3.375 0.000 0.000
Ta 0.000 0.000 0.000
Ir 3.375 3.375 3.375
```

***

This entry pairs a crystal structure of LaCdS with its simulated powder diffraction line list. Radiation: Cu Kα (weighted mean of Kα1 and Kα2). Structure: a DFT-relaxed cell (GGA-PBE, Alexandria).

The 8 most intense peaks (2θ from 5° to 70°), in order of rising 2θ:
11.22°, intensity 34; 25.80°, intensity 49; 28.21°, intensity 64; 33.88°, intensity 46; 34.11°, intensity 22; 36.59°, intensity 100; 50.89°, intensity 40; 60.20°, intensity 22

Cell and atoms:
```
6
Lattice="2.456 1.418 7.885 -2.456 1.418 7.885 0.000 -2.836 7.885" Properties=species:S:1:pos:R:3 pbc="T T T"
La 0.000 0.000 2.171
La 0.000 0.000 21.484
Cd 0.000 0.000 7.872
Cd 0.000 0.000 15.782
S 0.000 0.000 5.069
S 0.000 0.000 18.585
```

***

This entry pairs a crystal structure of In14GaHg with its simulated powder diffraction line list. Radiation: Cu Kα (weighted mean of Kα1 and Kα2). Structure: a DFT-relaxed cell (GGA-PBE, Alexandria).

The 8 most intense peaks (2θ from 5° to 70°), in order of rising 2θ:
31.98°, intensity 39; 32.28°, intensity 23; 32.40°, intensity 51; 35.01°, intensity 100; 35.29°, intensity 38; 39.61°, intensity 22; 55.37°, intensity 21; 65.63°, intensity 25

Cell and atoms:
```
16
Lattice="11.055 0.000 0.000 0.000 3.351 5.730 0.000 -3.351 5.730" Properties=species:S:1:pos:R:3 pbc="T T T"
In 0.000 0.000 0.000
In 0.000 -1.664 2.882
In 0.000 0.000 5.716
In 0.000 1.664 2.882
In 2.731 0.000 7.659
In 2.807 0.000 1.942
In 2.857 -1.663 4.782
In 2.857 1.663 4.782
In 5.527 -1.658 6.817
In 5.527 1.658 6.817
In 8.198 -1.663 4.782
In 8.198 1.663 4.782
In 8.248 0.000 1.942
In 8.324 0.000 7.659
Ga 5.527 0.000 3.923
Hg 5.527 0.000 9.662
```

***

What did the sixth record say?
This entry pairs a crystal structure of Rb3TaIr with its simulated powder diffraction line list. Radiation: Cu Kα (weighted mean of Kα1 and Kα2). Structure: a DFT-relaxed cell (GGA-PBE, Alexandria).

The 8 most intense peaks (2θ from 5° to 70°), in order of rising 2θ:
18.59°, intensity 90; 22.82°, intensity 36; 26.41°, intensity 100; 32.49°, intensity 47; 37.69°, intensity 78; 46.61°, intensity 28; 50.60°, intensity 28; 61.43°, intensity 37

Cell and atoms:
```
5
Lattice="6.750 0.000 0.000 0.000 6.750 0.000 0.000 0.000 6.750" Properties=species:S:1:pos:R:3 pbc="T T T"
Rb 0.000 0.000 3.375
Rb 0.000 3.375 0.000
Rb 3.375 0.000 0.000
Ta 0.000 0.000 0.000
Ir 3.375 3.375 3.375
```